Computed powder diffractogram
Compound: K2HfTeS4
Radiation: Cu Kα (weighted mean of Kα1 and Kα2)
Structure: a DFT-relaxed cell (GGA-PBE, Alexandria)
Neutral-atom scattering factors, no anomalous dispersion.

Cell and atoms:
```
data_K2HfTeS4
_cell_length_a 7.8282
_cell_length_b 7.8282
_cell_length_c 7.8233
_cell_angle_alpha 90.00
_cell_angle_beta 90.00
_cell_angle_gamma 90.00
_space_group_name_H-M_alt 'I -4'
_space_group_IT_number 82
_space_group_name_Hall 'I -4'
loop_
_atom_site_label
_atom_site_type_symbol
_atom_site_fract_x
_atom_site_fract_y
_atom_site_fract_z
K1 K 0.0000 0.0000 0.0000
K2 K 0.0000 0.5000 0.2500
Hf1 Hf 0.0000 0.0000 0.5000
Te1 Te 0.0000 0.5000 0.7500
S1 S 0.1541 0.1955 0.6811
```

Largest 12 diffraction maxima, most intense first, 2θ = 15–90°:
d/Å	I/Imax	(hkl)
3.195	100	1 1 2
2.092	79	3 1 2
5.534	74	1 0 1
3.914	41	2 0 0
2.768	35	2 2 0
1.750	30	2 4 0
1.270	23	5 3 2
1.845	18	3 0 3
1.429	17	1 5 2
1.304	14	6 0 0
1.535	12	1 0 5
1.957	12	0 0 4